Structure and calculated powder XRD pattern of TiFe5P6O24 (a DFT-relaxed cell (PBE+U, Alexandria); Cu Kα (weighted mean of Kα1 and Kα2)).

Atomic structure:
```
data_TiFe5P6O24
_symmetry_space_group_name_H-M 'P 1'
_symmetry_Int_Tables_number 1
_cell_length_a 8.488
_cell_length_b 8.488
_cell_length_c 8.488
_cell_angle_alpha 61.25
_cell_angle_beta 61.25
_cell_angle_gamma 61.25
loop_
_symmetry_equiv_pos_as_xyz
'x,y,z'
loop_
_atom_site_label
_atom_site_fract_x
_atom_site_fract_y
_atom_site_fract_z
Ti1 0.000 0.000 0.000
Fe1 0.211 0.211 0.211
Fe2 0.356 0.356 0.356
Fe3 0.503 0.503 0.503
Fe4 0.714 0.714 0.714
Fe5 0.856 0.856 0.856
P1 0.109 0.400 0.810
P2 0.315 0.904 0.607
P3 0.400 0.810 0.109
P4 0.607 0.315 0.904
P5 0.810 0.109 0.400
P6 0.904 0.607 0.315
O1 0.037 0.239 0.863
O2 0.104 0.446 0.304
O3 0.113 0.927 0.762
O4 0.183 0.356 0.962
O5 0.239 0.863 0.037
O6 0.267 0.404 0.610
O7 0.304 0.104 0.446
O8 0.351 0.748 0.540
O9 0.356 0.962 0.183
O10 0.404 0.610 0.267
O11 0.446 0.304 0.104
O12 0.468 0.861 0.680
O13 0.540 0.351 0.748
O14 0.598 0.792 0.954
O15 0.610 0.267 0.404
O16 0.680 0.468 0.861
O17 0.748 0.540 0.351
O18 0.762 0.113 0.927
O19 0.792 0.954 0.598
O20 0.861 0.680 0.468
O21 0.863 0.037 0.239
O22 0.927 0.762 0.113
O23 0.954 0.598 0.792
O24 0.962 0.183 0.356
```

The 10 most intense peaks (2θ = 10–90°), by intensity:
| 2θ (°) | I_rel |
| --- | --- |
| 24.33 | 100 |
| 20.54 | 84 |
| 33.33 | 72 |
| 35.97 | 38 |
| 47.76 | 29 |
| 49.85 | 27 |
| 56.29 | 23 |
| 62.99 | 20 |
| 25.31 | 17 |
| 31.91 | 15 |